[1]
This entry pairs a crystal structure of Pm2Ge3Au5 with its calculated powder diffractogram. Radiation: Cu Kα X-rays. Structure: a crystal structure in Alexandria, relaxed with GGA-PBE.
Neutral-atom scattering factors, no anomalous dispersion.

Top 8 peaks for 2θ = 10–90°, by angle:
- 32.2 deg, I = 46.7
- 32.8 deg, I = 68.1
- 33.2 deg, I = 100.0
- 33.6 deg, I = 35.1
- 41.2 deg, I = 98.2
- 44.1 deg, I = 28.6
- 45.9 deg, I = 26.8
- 59.6 deg, I = 31.0

Structural model:
Lattice parameters (Å, degrees): 8.7910 8.7910 6.2064 109.62 109.62 89.74
Atoms (fractional coordinates):
Pm1 0.1070 0.3700 0.2327
Pm2 0.3700 0.1070 0.7327
Pm3 0.6300 0.8930 0.2673
Pm4 0.8930 0.6300 0.7673
Ge1 0.0012 0.2598 0.6407
Ge2 0.2598 0.0012 0.1407
Ge3 0.4840 0.5160 0.2500
Ge4 0.5160 0.4840 0.7500
Ge5 0.7402 0.9988 0.8593
Ge6 0.9988 0.7402 0.3593
Au1 0.0034 0.9966 0.7500
Au2 0.2416 0.7584 0.7500
Au3 0.2463 0.4612 0.8233
Au4 0.2640 0.7360 0.2500
Au5 0.4612 0.2463 0.3233
Au6 0.5388 0.7537 0.6767
Au7 0.7360 0.2640 0.7500
Au8 0.7537 0.5388 0.1767
Au9 0.7584 0.2416 0.2500
Au10 0.9966 0.0034 0.2500

=====

[2]
This entry pairs a crystal structure of Pm2Ge2Au with its calculated powder diffractogram. Radiation: Cu Kα X-rays. Structure: a crystal structure in Alexandria, relaxed with GGA-PBE.
Neutral-atom scattering factors, no anomalous dispersion.

Top 8 peaks for 2θ = 10–90°, by angle:
- 26.1 deg, I = 26.8
- 31.8 deg, I = 100.0
- 32.2 deg, I = 62.0
- 32.5 deg, I = 42.8
- 35.5 deg, I = 56.0
- 38.9 deg, I = 83.6
- 40.5 deg, I = 63.3
- 57.5 deg, I = 26.6

Structural model:
Lattice parameters (Å, degrees): 5.9300 5.9300 10.6191 115.31 115.31 44.16
Atoms (fractional coordinates):
Pm1 0.0070 0.0070 0.3251
Pm2 0.1860 0.1860 0.1042
Pm3 0.8140 0.8140 0.8958
Pm4 0.9930 0.9930 0.6749
Ge1 0.3631 0.3631 0.4348
Ge2 0.4691 0.4691 0.1085
Ge3 0.5309 0.5309 0.8915
Ge4 0.6369 0.6369 0.5652
Au1 0.2799 0.2799 0.6551
Au2 0.7201 0.7201 0.3449